The following is a calculated PXRD pattern of Ba4Pr4Co8O23. It was derived from a DFT-relaxed cell (GGA+U, Alexandria), using Cu Ka.

a = 7.989 Å, b = 7.989 Å, c = 7.586 Å
α = 90.00°, β = 90.00°, γ = 90.00°
Space group P4/mmm (No. 123)
Symmetry-distinct sites (fractional):
Ba (0.246, 0.246, 0.000)
Pr (0.256, 0.256, 0.500)
Co (0.000, 0.000, 0.258)
Co (0.000, 0.500, 0.253)
Co (0.500, 0.500, 0.249)
O (0.000, 0.000, 0.000)
O (0.000, 0.233, 0.294)
O (0.000, 0.500, 0.000)
O (0.000, 0.500, 0.500)
O (0.248, 0.500, 0.269)
O (0.500, 0.500, 0.000)
O (0.500, 0.500, 0.500)

Main lines, by angle (2θ from 10° to 80°):
| 2θ/deg | Rel. int. |
| --- | --- |
| 22.3 | 12.5 |
| 31.7 | 51.3 |
| 32.6 | 100.0 |
| 39.8 | 23.3 |
| 45.4 | 33.5 |
| 48.0 | 13.1 |
| 57.0 | 39.4 |
| 58.6 | 19.4 |
| 66.2 | 9.8 |
| 68.2 | 16.8 |